This entry pairs a crystal structure of CaGe2Ir2 with its calculated powder X-ray diffraction pattern. Radiation: Cu Kα (weighted mean of Kα1 and Kα2). Structure: a crystal structure in the Materials Project, relaxed with GGA-PBE.
Lines closer than 0.1° are merged.

Cell and atoms:
Unit cell a=4.1964 b=4.1964 c=10.4691 alpha=90.00 beta=90.00 gamma=90.00
Fractional positions:
Ca: 0.0000 0.0000 0.0000
Ca: 0.5000 0.5000 0.5000
Ge: 0.0000 0.0000 0.3753
Ge: 0.0000 0.0000 0.6247
Ge: 0.5000 0.5000 0.1247
Ge: 0.5000 0.5000 0.8753
Ir: 0.0000 0.5000 0.2500
Ir: 0.0000 0.5000 0.7500
Ir: 0.5000 0.0000 0.2500
Ir: 0.5000 0.0000 0.7500

Main lines, low angle first (2θ = 10–90°):
| 2θ/deg | intensity |
| --- | --- |
| 16.94 | 90 |
| 33.39 | 14 |
| 34.75 | 100 |
| 43.11 | 51 |
| 46.25 | 61 |
| 46.64 | 28 |
| 61.67 | 19 |
| 62.61 | 17 |
| 73.64 | 23 |
| 81.29 | 24 |

=====

This entry pairs a crystal structure of Ba3BiIr2O9 with its calculated powder X-ray diffraction pattern. Radiation: Cu Kα (weighted mean of Kα1 and Kα2). Structure: a crystal structure in the Materials Project, relaxed with GGA-PBE.
Lines closer than 0.1° are merged.

Cell and atoms:
Unit cell a=5.9969 b=5.9969 c=14.9797 alpha=91.02 beta=91.02 gamma=119.64
Fractional positions:
Ba: 0.0070 0.9930 0.7500
Ba: 0.3251 0.6597 0.4053
Ba: 0.3403 0.6749 0.0947
Ba: 0.6597 0.3251 0.9053
Ba: 0.6749 0.3403 0.5947
Ba: 0.9930 0.0070 0.2500
Bi: 0.0000 0.0000 0.0000
Bi: 0.0000 0.0000 0.5000
Ir: 0.3208 0.6474 0.8343
Ir: 0.3526 0.6792 0.6657
Ir: 0.6474 0.3208 0.3343
Ir: 0.6792 0.3526 0.1657
O: 0.0271 0.5047 0.7391
O: 0.1389 0.3179 0.8980
O: 0.1407 0.7878 0.9075
O: 0.2122 0.8593 0.5925
O: 0.2184 0.3991 0.5727
O: 0.3179 0.1389 0.3980
O: 0.3991 0.2184 0.0727
O: 0.4953 0.5047 0.7500
O: 0.4953 0.9729 0.7609
O: 0.5047 0.0271 0.2391
O: 0.5047 0.4953 0.2500
O: 0.6009 0.7816 0.9273
O: 0.6821 0.8611 0.6020
O: 0.7816 0.6009 0.4273
O: 0.7878 0.1407 0.4075
O: 0.8593 0.2122 0.0925
O: 0.8611 0.6821 0.1020
O: 0.9729 0.4953 0.2609

Main lines, low angle first (2θ = 10–90°):
| 2θ/deg | intensity |
| --- | --- |
| 18.16 | 20 |
| 28.95 | 28 |
| 29.44 | 24 |
| 29.65 | 40 |
| 29.80 | 100 |
| 41.63 | 13 |
| 42.42 | 13 |
| 42.90 | 12 |
| 52.71 | 16 |
| 61.91 | 16 |

=====

This entry pairs a crystal structure of PaInO4 with its calculated powder X-ray diffraction pattern. Radiation: Cu Kα (weighted mean of Kα1 and Kα2). Structure: a crystal structure in the Materials Project, relaxed with GGA-PBE.
Lines closer than 0.1° are merged.

Cell and atoms:
Unit cell a=6.5683 b=6.5683 c=6.5683 alpha=132.11 beta=132.11 gamma=70.05
Fractional positions:
Pa: 0.3750 0.6250 0.7500
Pa: 0.6250 0.3750 0.2500
In: 0.1250 0.8750 0.2500
In: 0.8750 0.1250 0.7500
O: 0.0000 0.2549 0.2549
O: 0.0000 0.7451 0.7451
O: 0.2549 0.0000 0.7549
O: 0.2549 0.5000 0.2549
O: 0.5000 0.2549 0.7549
O: 0.5000 0.7451 0.2451
O: 0.7451 0.0000 0.2451
O: 0.7451 0.5000 0.7451

Main lines, low angle first (2θ = 10–90°):
| 2θ/deg | intensity |
| --- | --- |
| 18.57 | 14 |
| 28.92 | 100 |
| 33.32 | 11 |
| 33.62 | 22 |
| 48.06 | 34 |
| 48.28 | 17 |
| 56.87 | 15 |
| 57.27 | 30 |
| 59.93 | 9 |
| 77.76 | 12 |

=====

This entry pairs a crystal structure of Cd2SiP4O14 with its calculated powder X-ray diffraction pattern. Radiation: Cu Kα (weighted mean of Kα1 and Kα2). Structure: a crystal structure in the Materials Project, relaxed with GGA-PBE.
Lines closer than 0.1° are merged.

Cell and atoms:
Unit cell a=9.1322 b=9.1322 c=12.6892 alpha=102.69 beta=102.69 gamma=33.48
Fractional positions:
Cd: 0.0890 0.4002 0.1318
Cd: 0.4002 0.0890 0.6318
Cd: 0.5998 0.9110 0.3682
Cd: 0.9110 0.5998 0.8682
Si: 0.1390 0.8610 0.2500
Si: 0.8610 0.1390 0.7500
P: 0.0419 0.6962 0.5858
P: 0.2353 0.5287 0.3705
P: 0.3038 0.9581 0.9142
P: 0.4713 0.7647 0.1295
P: 0.5287 0.2353 0.8705
P: 0.6962 0.0419 0.0858
P: 0.7647 0.4713 0.6295
P: 0.9581 0.3038 0.4142
O: 0.0133 0.6141 0.3030
O: 0.0219 0.1036 0.3296
O: 0.1036 0.0219 0.8296
O: 0.1232 0.6995 0.4858
O: 0.1871 0.2104 0.9509
O: 0.2104 0.1871 0.4509
O: 0.2374 0.4987 0.8849
O: 0.2778 0.4266 0.6296
O: 0.2790 0.6373 0.3243
O: 0.3005 0.8768 0.0142
O: 0.3627 0.7210 0.1757
O: 0.3859 0.9867 0.1970
O: 0.4266 0.2778 0.1296
O: 0.4987 0.2374 0.3849
O: 0.5013 0.7626 0.6151
O: 0.5734 0.7222 0.8704
O: 0.6141 0.0133 0.8030
O: 0.6373 0.2790 0.8243
O: 0.6995 0.1232 0.9858
O: 0.7210 0.3627 0.6757
O: 0.7222 0.5734 0.3704
O: 0.7626 0.5013 0.1151
O: 0.7896 0.8129 0.5491
O: 0.8129 0.7896 0.0491
O: 0.8768 0.3005 0.5142
O: 0.8964 0.9781 0.1704
O: 0.9781 0.8964 0.6704
O: 0.9867 0.3859 0.6970

Main lines, low angle first (2θ = 10–90°):
| 2θ/deg | intensity |
| --- | --- |
| 10.39 | 99 |
| 23.05 | 29 |
| 25.24 | 100 |
| 27.05 | 17 |
| 28.92 | 30 |
| 29.15 | 35 |
| 30.72 | 15 |
| 33.05 | 19 |
| 34.58 | 14 |
| 46.51 | 14 |